Li6Hg6Bi: simulated powder diffraction line list (Cu Kα X-rays), based on a DFT-relaxed cell (PBE, Alexandria).

a b c (Å): 6.0667 6.0667 9.2364
angles (deg): 90.00 90.00 120.00
Atoms (fractional coordinates):
Li  0.0000  0.0000  0.1814
Li  0.0000  0.0000  0.8186
Li  0.3333  0.6667  0.0000
Li  0.3333  0.6667  0.5000
Li  0.6667  0.3333  0.0000
Li  0.6667  0.3333  0.5000
Hg  0.0000  0.5000  0.2418
Hg  0.0000  0.5000  0.7582
Hg  0.5000  0.0000  0.2418
Hg  0.5000  0.0000  0.7582
Hg  0.5000  0.5000  0.2418
Hg  0.5000  0.5000  0.7582
Bi  0.0000  0.0000  0.5000

The 6 most intense peaks (15° ≤ 2θ ≤ 90°), most intense first:
2theta, intensity
34.13, 1000
25.68, 711
39.46, 691
19.22, 642
52.78, 562
35.40, 351


LiHg5Bi2: simulated powder diffraction line list (Cu Kα X-rays), based on a DFT-relaxed cell (PBE, Alexandria).

a b c (Å): 11.1204 11.1204 4.4457
angles (deg): 101.30 101.30 23.06
Atoms (fractional coordinates):
Li  0.0000  0.0000  0.0000
Hg  0.1082  0.1082  0.6072
Hg  0.3917  0.3917  0.8921
Hg  0.5000  0.5000  0.5000
Hg  0.6083  0.6083  0.1079
Hg  0.8918  0.8918  0.3928
Bi  0.2733  0.2733  0.2723
Bi  0.7267  0.7267  0.7277

The 6 most intense peaks (15° ≤ 2θ ≤ 90°), most intense first:
2theta, intensity
33.07, 1000
40.59, 355
28.97, 141
20.41, 128
69.05, 124
69.15, 124


Li14HgBi: simulated powder diffraction line list (Cu Kα X-rays), based on a DFT-relaxed cell (PBE, Alexandria).

a b c (Å): 6.8380 6.8380 6.5521
angles (deg): 90.00 90.00 90.00
Atoms (fractional coordinates):
Li  0.0000  0.0000  0.0000
Li  0.0000  0.5000  0.0000
Li  0.0000  0.5000  0.5000
Li  0.2457  0.2457  0.2646
Li  0.2457  0.2457  0.7354
Li  0.2457  0.7543  0.2646
Li  0.2457  0.7543  0.7354
Li  0.5000  0.0000  0.0000
Li  0.5000  0.0000  0.5000
Li  0.5000  0.5000  0.0000
Li  0.7543  0.2457  0.2646
Li  0.7543  0.2457  0.7354
Li  0.7543  0.7543  0.2646
Li  0.7543  0.7543  0.7354
Hg  0.0000  0.0000  0.5000
Bi  0.5000  0.5000  0.5000

The 6 most intense peaks (15° ≤ 2θ ≤ 90°), most intense first:
2theta, intensity
22.86, 1000
18.35, 827
29.47, 531
33.03, 405
38.04, 404
44.10, 371


Li3HgBi4: simulated powder diffraction line list (Cu Kα X-rays), based on a DFT-relaxed cell (PBE, Alexandria).

a b c (Å): 3.4903 5.2587 10.9935
angles (deg): 90.00 90.00 90.00
Atoms (fractional coordinates):
Li  0.0000  0.0000  0.0000
Li  0.0000  0.5000  0.2535
Li  0.0000  0.5000  0.7465
Hg  0.0000  0.0000  0.5000
Bi  0.5000  0.0000  0.2311
Bi  0.5000  0.0000  0.7689
Bi  0.5000  0.5000  0.0000
Bi  0.5000  0.5000  0.5000

The 6 most intense peaks (15° ≤ 2θ ≤ 90°), most intense first:
2theta, intensity
34.90, 1000
23.41, 455
32.58, 280
34.10, 272
61.57, 225
59.64, 197